Ti2CoOs: computed powder diffractogram (Cu Kα), based on a structure optimized by DFT (GGA-PBE).
Neutral-atom scattering factors, no anomalous dispersion.

Largest 6 diffraction maxima, low angle first, 2θ from 15° to 90°:
2θ 25.28, intensity 32
2θ 29.27, intensity 26
2θ 41.87, intensity 100
2θ 49.54, intensity 17
2θ 60.71, intensity 16
2θ 76.47, intensity 32

Structural model:
```
data_Ti2CoOs
_cell_length_a 4.315
_cell_length_b 4.315
_cell_length_c 4.315
_cell_angle_alpha 60.00
_cell_angle_beta 60.00
_cell_angle_gamma 60.00
_space_group_name_H-M_alt 'P 1'
_space_group_IT_number 1
_space_group_name_Hall 'P 1'
loop_
_atom_site_label
_atom_site_type_symbol
_atom_site_fract_x
_atom_site_fract_y
_atom_site_fract_z
Ti1 Ti 0.250 0.250 0.250
Ti2 Ti 0.750 0.750 0.750
Co1 Co 0.000 0.000 0.000
Os1 Os 0.500 0.500 0.500
```


Hg3PClO4: computed powder diffractogram (Cu Kα), based on a structure optimized by DFT (GGA-PBE).
Neutral-atom scattering factors, no anomalous dispersion.

Largest 6 diffraction maxima, low angle first, 2θ from 15° to 90°:
2θ 18.06, intensity 100
2θ 23.38, intensity 61
2θ 25.65, intensity 75
2θ 31.55, intensity 92
2θ 33.31, intensity 64
2θ 34.99, intensity 74

Structural model:
```
data_Hg3PClO4
_cell_length_a 8.506
_cell_length_b 8.506
_cell_length_c 8.506
_cell_angle_alpha 90.00
_cell_angle_beta 90.00
_cell_angle_gamma 90.00
_space_group_name_H-M_alt 'P 1'
_space_group_IT_number 1
_space_group_name_Hall 'P 1'
loop_
_atom_site_label
_atom_site_type_symbol
_atom_site_fract_x
_atom_site_fract_y
_atom_site_fract_z
Hg1 Hg 0.043 0.387 0.356
Hg2 Hg 0.113 0.644 0.543
Hg3 Hg 0.144 0.957 0.887
Hg4 Hg 0.356 0.043 0.387
Hg5 Hg 0.387 0.356 0.043
Hg6 Hg 0.457 0.613 0.856
Hg7 Hg 0.543 0.113 0.644
Hg8 Hg 0.613 0.856 0.457
Hg9 Hg 0.644 0.543 0.113
Hg10 Hg 0.856 0.457 0.613
Hg11 Hg 0.887 0.144 0.957
Hg12 Hg 0.957 0.887 0.144
P1 P 0.016 0.516 0.984
P2 P 0.484 0.484 0.484
P3 P 0.516 0.984 0.016
P4 P 0.984 0.016 0.516
Cl1 Cl 0.235 0.765 0.265
Cl2 Cl 0.265 0.235 0.765
Cl3 Cl 0.735 0.735 0.735
Cl4 Cl 0.765 0.265 0.235
O1 O 0.093 0.903 0.616
O2 O 0.097 0.116 0.407
O3 O 0.116 0.407 0.097
O4 O 0.120 0.620 0.880
O5 O 0.380 0.380 0.380
O6 O 0.384 0.593 0.597
O7 O 0.403 0.884 0.907
O8 O 0.407 0.097 0.116
O9 O 0.593 0.597 0.384
O10 O 0.597 0.384 0.593
O11 O 0.616 0.093 0.903
O12 O 0.620 0.880 0.120
O13 O 0.880 0.120 0.620
O14 O 0.884 0.907 0.403
O15 O 0.903 0.616 0.093
O16 O 0.907 0.403 0.884
```


Nb3Ge: computed powder diffractogram (Cu Kα), based on a structure optimized by DFT (GGA-PBE).
Neutral-atom scattering factors, no anomalous dispersion.

Largest 6 diffraction maxima, low angle first, 2θ from 15° to 90°:
2θ 21.59, intensity 1
2θ 37.87, intensity 100
2θ 44.01, intensity 49
2θ 63.99, intensity 31
2θ 76.82, intensity 36
2θ 80.92, intensity 10

Structural model:
```
data_Nb3Ge
_cell_length_a 4.115
_cell_length_b 4.115
_cell_length_c 4.115
_cell_angle_alpha 90.00
_cell_angle_beta 90.00
_cell_angle_gamma 90.00
_space_group_name_H-M_alt 'P 1'
_space_group_IT_number 1
_space_group_name_Hall 'P 1'
loop_
_atom_site_label
_atom_site_type_symbol
_atom_site_fract_x
_atom_site_fract_y
_atom_site_fract_z
Nb1 Nb 0.000 0.000 0.500
Nb2 Nb 0.000 0.500 0.000
Nb3 Nb 0.500 0.000 0.000
Ge1 Ge 0.500 0.500 0.500
```


Ca3PCl3: computed powder diffractogram (Cu Kα), based on a structure optimized by DFT (GGA-PBE).
Neutral-atom scattering factors, no anomalous dispersion.

Largest 6 diffraction maxima, low angle first, 2θ from 15° to 90°:
2θ 22.00, intensity 16
2θ 31.31, intensity 100
2θ 44.87, intensity 66
2θ 55.74, intensity 21
2θ 74.24, intensity 26
2θ 82.76, intensity 19

Structural model:
```
data_Ca3PCl3
_cell_length_a 5.713
_cell_length_b 5.713
_cell_length_c 5.713
_cell_angle_alpha 90.00
_cell_angle_beta 90.00
_cell_angle_gamma 90.00
_space_group_name_H-M_alt 'P 1'
_space_group_IT_number 1
_space_group_name_Hall 'P 1'
loop_
_atom_site_label
_atom_site_type_symbol
_atom_site_fract_x
_atom_site_fract_y
_atom_site_fract_z
Ca1 Ca 0.000 0.000 0.500
Ca2 Ca 0.000 0.500 0.000
Ca3 Ca 0.500 0.000 0.000
P1 P 0.000 0.000 0.000
Cl1 Cl 0.000 0.500 0.500
Cl2 Cl 0.500 0.000 0.500
Cl3 Cl 0.500 0.500 0.000
```


Zn4P2H3O10: computed powder diffractogram (Cu Kα), based on a structure optimized by DFT (GGA-PBE).
Neutral-atom scattering factors, no anomalous dispersion.

Largest 6 diffraction maxima, low angle first, 2θ from 15° to 90°:
2θ 20.52, intensity 32
2θ 20.92, intensity 100
2θ 24.51, intensity 24
2θ 27.81, intensity 74
2θ 34.32, intensity 26
2θ 39.24, intensity 26

Structural model:
```
data_Zn4P2H3O10
_cell_length_a 9.767
_cell_length_b 4.908
_cell_length_c 12.040
_cell_angle_alpha 90.00
_cell_angle_beta 119.78
_cell_angle_gamma 90.00
_space_group_name_H-M_alt 'P 1'
_space_group_IT_number 1
_space_group_name_Hall 'P 1'
loop_
_atom_site_label
_atom_site_type_symbol
_atom_site_fract_x
_atom_site_fract_y
_atom_site_fract_z
Zn1 Zn 0.000 0.000 0.000
Zn2 Zn 0.000 0.000 0.500
Zn3 Zn 0.000 0.011 0.250
Zn4 Zn 0.000 0.989 0.750
Zn5 Zn 0.280 0.335 0.990
Zn6 Zn 0.280 0.665 0.490
Zn7 Zn 0.720 0.335 0.510
Zn8 Zn 0.720 0.665 0.010
P1 P 0.243 0.480 0.727
P2 P 0.243 0.520 0.227
P3 P 0.757 0.480 0.773
P4 P 0.757 0.520 0.273
H1 H 0.340 0.204 0.380
H2 H 0.340 0.796 0.880
H3 H 0.500 0.476 0.250
H4 H 0.500 0.524 0.750
H5 H 0.660 0.204 0.120
H6 H 0.660 0.796 0.620
O1 O 0.095 0.353 0.154
O2 O 0.095 0.647 0.654
O3 O 0.134 0.045 0.931
O4 O 0.134 0.955 0.431
O5 O 0.227 0.180 0.744
O6 O 0.227 0.820 0.244
O7 O 0.347 0.405 0.377
O8 O 0.347 0.595 0.877
O9 O 0.360 0.467 0.172
O10 O 0.360 0.533 0.672
O11 O 0.640 0.467 0.328
O12 O 0.640 0.533 0.828
O13 O 0.653 0.405 0.123
O14 O 0.653 0.595 0.623
O15 O 0.773 0.180 0.756
O16 O 0.773 0.820 0.256
O17 O 0.866 0.045 0.569
O18 O 0.866 0.955 0.069
O19 O 0.905 0.353 0.346
O20 O 0.905 0.647 0.846
```


La5Sn3I: computed powder diffractogram (Cu Kα), based on a structure optimized by DFT (GGA-PBE).
Neutral-atom scattering factors, no anomalous dispersion.

Largest 6 diffraction maxima, low angle first, 2θ from 15° to 90°:
2θ 30.58, intensity 46
2θ 31.00, intensity 100
2θ 31.67, intensity 74
2θ 44.91, intensity 26
2θ 55.99, intensity 18
2θ 61.43, intensity 22

Structural model:
```
data_La5Sn3I
_cell_length_a 9.788
_cell_length_b 9.788
_cell_length_c 7.141
_cell_angle_alpha 90.00
_cell_angle_beta 90.00
_cell_angle_gamma 120.00
_space_group_name_H-M_alt 'P 1'
_space_group_IT_number 1
_space_group_name_Hall 'P 1'
loop_
_atom_site_label
_atom_site_type_symbol
_atom_site_fract_x
_atom_site_fract_y
_atom_site_fract_z
La1 La 0.000 0.277 0.250
La2 La 0.000 0.723 0.750
La3 La 0.277 0.000 0.250
La4 La 0.277 0.277 0.750
La5 La 0.333 0.667 0.000
La6 La 0.333 0.667 0.500
La7 La 0.667 0.333 0.000
La8 La 0.667 0.333 0.500
La9 La 0.723 0.000 0.750
La10 La 0.723 0.723 0.250
Sn1 Sn 0.000 0.386 0.750
Sn2 Sn 0.000 0.614 0.250
Sn3 Sn 0.386 0.000 0.750
Sn4 Sn 0.386 0.386 0.250
Sn5 Sn 0.614 0.000 0.250
Sn6 Sn 0.614 0.614 0.750
I1 I 0.000 0.000 0.000
I2 I 0.000 0.000 0.500
```